No. 1
# AcTbTmTe3
Calculated powder diffraction line list, λ = 1.5418 Å (Cu Kα). Input: a structure optimized by DFT (PBE).

Crystal structure
```
data_AcTbTmTe3
_space_group_name_H-M_alt 'P 1 21/m 1'
_space_group_IT_number 11
_cell_length_a 8.743
_cell_length_b 4.402
_cell_length_c 10.898
_cell_angle_alpha 90.00
_cell_angle_beta 106.90
_cell_angle_gamma 90.00
loop_
_space_group_symop_operation_xyz
'x,y,z'
'-x,-y,-z'
'-x,y+1/2,-z'
'x,-y+1/2,z'
loop_
_atom_site_label
_atom_site_type_symbol
_atom_site_fract_x
_atom_site_fract_y
_atom_site_fract_z
Ac1 Ac 0.193 0.250 0.220
Tb1 Tb 0.339 0.750 0.907
Tm1 Tm 0.151 0.250 0.625
Te1 Te 0.095 0.250 0.893
Te2 Te 0.219 0.750 0.462
Te3 Te 0.491 0.750 0.206
```

The 10 most intense peaks (2θ = 5–70°), sorted by position:
| 2θ/deg | Rel. int. | hkl |
| --- | --- | --- |
| 26.6 | 58 | 1 1 -2 |
| 28.9 | 78 | 2 1 -1 |
| 29.5 | 100 | 2 1 0 |
| 30.6 | 35 | 1 0 3 |
| 32.1 | 92 | 1 1 -3 |
| 32.9 | 50 | 1 0 -4 |
| 36.9 | 33 | 1 1 3 |
| 37.3 | 38 | 2 1 2 |
| 40.6 | 46 | 3 1 -3 |
| 41.0 | 62 | 0 2 0 |

***

No. 2
# Ac3Tb12Th
Calculated powder diffraction line list, λ = 1.5418 Å (Cu Kα). Input: a structure optimized by DFT (PBE).

Crystal structure
```
data_Ac3Tb12Th
_space_group_name_H-M_alt 'P 4/m m m'
_space_group_IT_number 123
_space_group_name_Hall '-P 4 2'
_cell_length_a 5.149
_cell_length_b 5.149
_cell_length_c 20.597
_cell_angle_alpha 90.00
_cell_angle_beta 90.00
_cell_angle_gamma 90.00
loop_
_atom_site_label
_atom_site_type_symbol
_atom_site_fract_x
_atom_site_fract_y
_atom_site_fract_z
Ac1 Ac 0.000 0.000 0.000
Ac2 Ac 0.000 0.000 0.253
Tb1 Tb 0.000 0.500 0.127
Tb2 Tb 0.000 0.500 0.382
Tb3 Tb 0.500 0.500 0.000
Tb4 Tb 0.500 0.500 0.253
Tb5 Tb 0.500 0.500 0.500
Th1 Th 0.000 0.000 0.500
```

The 10 most intense peaks (2θ = 5–70°), sorted by position:
| 2θ/deg | Rel. int. | hkl |
| --- | --- | --- |
| 17.2 | 2 | 0 0 4 |
| 24.4 | 2 | 1 1 0 |
| 30.1 | 100 | 1 1 4 |
| 34.8 | 51 | 2 0 0 |
| 39.1 | 1 | 2 0 4 |
| 43.0 | 1 | 1 1 8 |
| 50.1 | 36 | 2 2 0 |
| 53.4 | 1 | 0 0 12 |
| 59.5 | 43 | 3 1 4 |
| 62.5 | 12 | 2 2 8 |

***

No. 3
# AcTb3Tl4
Calculated powder diffraction line list, λ = 1.5418 Å (Cu Kα). Input: a structure optimized by DFT (PBE).

Crystal structure
```
data_AcTb3Tl4
_space_group_name_H-M_alt 'P m m a'
_space_group_IT_number 51
_cell_length_a 11.045
_cell_length_b 7.767
_cell_length_c 5.522
_cell_angle_alpha 90.00
_cell_angle_beta 90.00
_cell_angle_gamma 90.00
loop_
_space_group_symop_operation_xyz
'x,y,z'
'-x,-y,-z'
'-x+1/2,-y,z'
'x+1/2,y,-z'
'x+1/2,-y,-z'
'-x+1/2,y,z'
'-x,y,-z'
'x,-y,z'
loop_
_atom_site_label
_atom_site_type_symbol
_atom_site_fract_x
_atom_site_fract_y
_atom_site_fract_z
Ac1 Ac 0.000 0.000 0.000
Tb1 Tb 0.000 0.500 0.000
Tb2 Tb 0.250 0.000 0.499
Tb3 Tb 0.250 0.500 0.497
Tl1 Tl 0.000 0.266 0.500
Tl2 Tl 0.250 0.266 0.997
```

The 10 most intense peaks (2θ = 5–70°), sorted by position:
| 2θ/deg | Rel. int. | hkl |
| --- | --- | --- |
| 25.5 | 1 | 2 1 1 |
| 32.5 | 100 | 4 0 0 |
| 46.5 | 13 | 4 0 2 |
| 46.8 | 6 | 0 4 0 |
| 48.2 | 1 | 4 3 0 |
| 57.9 | 26 | 6 2 1 |
| 58.1 | 12 | 4 4 0 |
| 64.6 | 1 | 2 5 1 |
| 67.9 | 4 | 8 0 0 |
| 68.1 | 8 | 4 4 2 |

***

No. 4
# Ac3Tb2Tl6
Calculated powder diffraction line list, λ = 1.5418 Å (Cu Kα). Input: a structure optimized by DFT (PBE).

Crystal structure
```
data_Ac3Tb2Tl6
_space_group_name_H-M_alt 'I 4/m m m'
_space_group_IT_number 139
_space_group_name_Hall '-I 4 2'
_cell_length_a 5.072
_cell_length_b 5.072
_cell_length_c 29.245
_cell_angle_alpha 90.00
_cell_angle_beta 90.00
_cell_angle_gamma 90.00
loop_
_atom_site_label
_atom_site_type_symbol
_atom_site_fract_x
_atom_site_fract_y
_atom_site_fract_z
Ac1 Ac 0.000 0.000 0.000
Ac2 Ac 0.000 0.000 0.197
Tb1 Tb 0.000 0.000 0.444
Tl1 Tl 0.000 0.000 0.313
Tl2 Tl 0.000 0.500 0.114
```

The 10 most intense peaks (2θ = 5–70°), sorted by position:
| 2θ/deg | Rel. int. | hkl |
| --- | --- | --- |
| 27.7 | 100 | 1 1 4 |
| 30.6 | 19 | 0 0 10 |
| 31.0 | 40 | 1 1 6 |
| 32.7 | 28 | 1 0 9 |
| 35.1 | 93 | 1 1 8 |
| 35.4 | 91 | 2 0 0 |
| 47.5 | 23 | 2 0 10 |
| 50.9 | 33 | 2 2 0 |
| 59.0 | 24 | 3 1 4 |
| 63.3 | 34 | 3 1 8 |

***

No. 5
# Ac2Tb3Tl4
Calculated powder diffraction line list, λ = 1.5418 Å (Cu Kα). Input: a structure optimized by DFT (PBE).

Crystal structure
```
data_Ac2Tb3Tl4
_space_group_name_H-M_alt 'P 1 21/c 1'
_space_group_IT_number 14
_cell_length_a 8.605
_cell_length_b 8.601
_cell_length_c 8.297
_cell_angle_alpha 90.00
_cell_angle_beta 108.36
_cell_angle_gamma 90.00
loop_
_space_group_symop_operation_xyz
'x,y,z'
'-x,-y,-z'
'-x,y+1/2,-z+1/2'
'x,-y+1/2,z+1/2'
loop_
_atom_site_label
_atom_site_type_symbol
_atom_site_fract_x
_atom_site_fract_y
_atom_site_fract_z
Ac1 Ac 0.190 0.179 0.066
Tb1 Tb 0.248 0.665 0.250
Tb2 Tb 0.500 0.000 0.500
Tl1 Tl 0.083 0.541 0.857
Tl2 Tl 0.499 0.628 0.633
```

The 10 most intense peaks (2θ = 5–70°), sorted by position:
| 2θ/deg | Rel. int. | hkl |
| --- | --- | --- |
| 27.5 | 34 | 1 2 1 |
| 28.0 | 45 | 2 1 -2 |
| 29.5 | 24 | 2 1 1 |
| 29.7 | 100 | 2 2 -1 |
| 30.0 | 87 | 1 1 2 |
| 30.2 | 73 | 2 2 0 |
| 32.9 | 35 | 3 0 0 |
| 33.3 | 55 | 0 3 1 |
| 33.6 | 25 | 3 0 -2 |
| 34.1 | 76 | 1 1 -3 |

***

No. 6
# Ac2TbTl3
Calculated powder diffraction line list, λ = 1.5418 Å (Cu Kα). Input: a structure optimized by DFT (PBE).

Crystal structure
```
data_Ac2TbTl3
_space_group_name_H-M_alt 'P 4/m m m'
_space_group_IT_number 123
_space_group_name_Hall '-P 4 2'
_cell_length_a 3.991
_cell_length_b 3.991
_cell_length_c 12.270
_cell_angle_alpha 90.00
_cell_angle_beta 90.00
_cell_angle_gamma 90.00
loop_
_atom_site_label
_atom_site_type_symbol
_atom_site_fract_x
_atom_site_fract_y
_atom_site_fract_z
Ac1 Ac 0.000 0.000 0.177
Tb1 Tb 0.000 0.000 0.500
Tl1 Tl 0.500 0.500 0.000
Tl2 Tl 0.500 0.500 0.358
```

The 10 most intense peaks (2θ = 5–70°), sorted by position:
| 2θ/deg | Rel. int. | hkl |
| --- | --- | --- |
| 26.6 | 6 | 1 0 2 |
| 31.3 | 100 | 1 0 3 |
| 31.7 | 53 | 1 1 0 |
| 44.3 | 8 | 0 0 6 |
| 45.5 | 20 | 2 0 0 |
| 49.2 | 5 | 1 1 5 |
| 55.5 | 16 | 1 1 6 |
| 56.2 | 39 | 2 1 3 |
| 65.3 | 10 | 2 0 6 |
| 66.2 | 7 | 2 2 0 |